LiScVF6: calculated powder X-ray diffraction pattern (Cu Kα (weighted mean of Kα1 and Kα2)), based on a structure optimized by DFT (GGA+U).
Peak positions follow from Bragg's law for the DFT cell and can differ from measured ones.

Top 6 peaks for 5° ≤ 2θ ≤ 70°, sorted by position:
2theta, I/Imax, hkl
20.51, 51.6, 1 0 1
25.95, 100.0, 1 1 0
33.61, 28.7, 1 0 3
38.52, 56.3, 1 1 3
50.87, 70.5, 2 1 3
64.56, 33.6, 3 0 3

Crystal structure
Cell lengths 4.856, 4.856, 9.570 Å; angles 90.00, 90.00, 90.00 degrees
Element x y z (fractional)
Li (0.000, 0.000, 0.000)
Li (0.500, 0.500, 0.500)
Sc (0.000, 0.000, 0.334)
Sc (0.500, 0.500, 0.834)
V (0.000, 0.000, 0.669)
V (0.500, 0.500, 0.169)
F (0.193, 0.193, 0.172)
F (0.196, 0.196, 0.495)
F (0.202, 0.202, 0.836)
F (0.298, 0.702, 0.336)
F (0.304, 0.696, 0.995)
F (0.307, 0.693, 0.672)
F (0.693, 0.307, 0.672)
F (0.696, 0.304, 0.995)
F (0.702, 0.298, 0.336)
F (0.798, 0.798, 0.836)
F (0.804, 0.804, 0.495)
F (0.807, 0.807, 0.172)